# 1
The following is a simulated powder diffraction line list of BaZn4In12. It was derived from a GGA-PBE-relaxed structure, using Cu Kα (weighted mean of Kα1 and Kα2).

Top 6 peaks for 10 to 90 degrees two-theta, low angle first:
d 3.085, intensity 1000; d 2.607, intensity 395; d 2.181, intensity 167; d 1.991, intensity 229; d 1.913, intensity 324; d 1.438, intensity 166

a = 8.448 Å, b = 8.448 Å, c = 8.448 Å
α = 109.47°, β = 109.47°, γ = 109.47°
Positions (direct):
Ba 0.000 0.000 0.000
Zn 0.000 0.000 0.500
Zn 0.000 0.500 0.000
Zn 0.500 0.000 0.000
Zn 0.500 0.500 0.500
In 0.161 0.510 0.349
In 0.161 0.811 0.651
In 0.189 0.349 0.839
In 0.349 0.161 0.510
In 0.349 0.839 0.189
In 0.490 0.651 0.839
In 0.510 0.349 0.161
In 0.651 0.161 0.811
In 0.651 0.839 0.490
In 0.811 0.651 0.161
In 0.839 0.189 0.349
In 0.839 0.490 0.651



# 2
The following is a simulated powder diffraction line list of BaZnIn4. It was derived from a GGA-PBE-relaxed structure, using Cu Kα (weighted mean of Kα1 and Kα2).

Top 6 peaks for 10 to 90 degrees two-theta, low angle first:
d 2.957, intensity 1000; d 2.891, intensity 544; d 2.708, intensity 296; d 2.392, intensity 324; d 2.369, intensity 335; d 1.683, intensity 214

a = 9.427 Å, b = 9.427 Å, c = 7.742 Å
α = 90.00°, β = 90.00°, γ = 150.90°
Positions (direct):
Ba 0.119 0.881 0.750
Ba 0.881 0.119 0.250
Zn 0.229 0.771 0.250
Zn 0.771 0.229 0.750
In 0.073 0.927 0.250
In 0.318 0.682 0.554
In 0.318 0.682 0.946
In 0.500 0.500 0.000
In 0.500 0.500 0.500
In 0.682 0.318 0.054
In 0.682 0.318 0.446
In 0.927 0.073 0.750



# 3
The following is a simulated powder diffraction line list of Ba2Zn2In. It was derived from a GGA-PBE-relaxed structure, using Cu Kα (weighted mean of Kα1 and Kα2).

Top 6 peaks for 10 to 90 degrees two-theta, low angle first:
d 3.091, intensity 1000; d 3.068, intensity 702; d 2.580, intensity 859; d 2.386, intensity 366; d 1.883, intensity 339; d 1.647, intensity 429

a = 4.772 Å, b = 6.415 Å, c = 10.479 Å
α = 90.00°, β = 90.00°, γ = 90.00°
Positions (direct):
Ba 0.000 0.000 0.189
Ba 0.000 0.000 0.811
Ba 0.500 0.500 0.311
Ba 0.500 0.500 0.689
Zn 0.000 0.245 0.500
Zn 0.000 0.755 0.500
Zn 0.500 0.255 0.000
Zn 0.500 0.745 0.000
In 0.000 0.500 0.000
In 0.500 0.000 0.500